1.
Diffraction record for Er4TmCo. The powder diffraction line list is theoretical, not measured: it uses a cell relaxed with PBE and Cu Ka.
Intensities are scaled so that the largest is 100.

Structural model:
```
data_Er4TmCo
_cell_length_a 5.742
_cell_length_b 7.209
_cell_length_c 15.834
_cell_angle_alpha 90.00
_cell_angle_beta 90.00
_cell_angle_gamma 90.00
_space_group_name_H-M_alt 'I m m m'
_space_group_IT_number 71
_space_group_name_Hall '-I 2 2'
loop_
_atom_site_label
_atom_site_type_symbol
_atom_site_fract_x
_atom_site_fract_y
_atom_site_fract_z
Er1 Er 0.000 0.000 0.174
Er2 Er 0.000 0.247 0.381
Er3 Er 0.000 0.274 0.000
Tm1 Tm 0.000 0.500 0.196
Co1 Co 0.199 0.500 0.500
```

Main lines, sorted by position (2θ = 10–90°):
| Position (°2θ) | Rel. int. |
| --- | --- |
| 27.2 | 21 |
| 31.2 | 37 |
| 32.3 | 54 |
| 33.9 | 100 |
| 41.8 | 25 |
| 57.2 | 17 |
| 61.4 | 16 |
| 62.6 | 22 |

2.
Diffraction record for Y3ErCo. The powder diffraction line list is theoretical, not measured: it uses a cell relaxed with PBE and Cu Ka.
Intensities are scaled so that the largest is 100.

Structural model:
```
data_Y3ErCo
_cell_length_a 11.588
_cell_length_b 8.370
_cell_length_c 8.126
_cell_angle_alpha 90.00
_cell_angle_beta 134.46
_cell_angle_gamma 90.00
_space_group_name_H-M_alt 'C 1 2/m 1'
_space_group_IT_number 12
_space_group_name_Hall '-C 2y'
loop_
_atom_site_label
_atom_site_type_symbol
_atom_site_fract_x
_atom_site_fract_y
_atom_site_fract_z
Y1 Y 0.048 0.000 0.341
Y2 Y 0.249 0.298 0.791
Er1 Er 0.047 0.500 0.251
Co1 Co 0.248 0.500 0.127
```

Main lines, sorted by position (2θ = 10–90°):
| Position (°2θ) | Rel. int. |
| --- | --- |
| 21.2 | 30 |
| 30.4 | 79 |
| 30.7 | 100 |
| 30.8 | 97 |
| 34.0 | 45 |
| 34.4 | 28 |
| 34.8 | 78 |
| 40.7 | 39 |

3.
Diffraction record for YEr6Co2. The powder diffraction line list is theoretical, not measured: it uses a cell relaxed with PBE and Cu Ka.
Intensities are scaled so that the largest is 100.

Structural model:
```
data_YEr6Co2
_cell_length_a 9.427
_cell_length_b 9.806
_cell_length_c 9.981
_cell_angle_alpha 90.00
_cell_angle_beta 90.00
_cell_angle_gamma 90.00
_space_group_name_H-M_alt 'I m m m'
_space_group_IT_number 71
_space_group_name_Hall '-I 2 2'
loop_
_atom_site_label
_atom_site_type_symbol
_atom_site_fract_x
_atom_site_fract_y
_atom_site_fract_z
Y1 Y 0.000 0.000 0.000
Y2 Y 0.000 0.000 0.500
Er1 Er 0.000 0.216 0.242
Er2 Er 0.185 0.500 0.182
Er3 Er 0.213 0.314 0.500
Co1 Co 0.000 0.309 0.000
Co2 Co 0.000 0.500 0.387
```

Main lines, sorted by position (2θ = 10–90°):
| Position (°2θ) | Rel. int. |
| --- | --- |
| 28.3 | 20 |
| 29.9 | 28 |
| 31.9 | 100 |
| 34.2 | 67 |
| 34.6 | 35 |
| 35.1 | 23 |
| 40.6 | 18 |
| 59.6 | 23 |

4.
Diffraction record for Y6ErCo3. The powder diffraction line list is theoretical, not measured: it uses a cell relaxed with PBE and Cu Ka.
Intensities are scaled so that the largest is 100.

Structural model:
```
data_Y6ErCo3
_cell_length_a 11.493
_cell_length_b 12.312
_cell_length_c 7.235
_cell_angle_alpha 90.00
_cell_angle_beta 90.00
_cell_angle_gamma 90.00
_space_group_name_H-M_alt 'C m c 21'
_space_group_IT_number 36
_space_group_name_Hall 'C 2c -2'
loop_
_atom_site_label
_atom_site_type_symbol
_atom_site_fract_x
_atom_site_fract_y
_atom_site_fract_z
Y1 Y 0.000 0.027 0.000
Y2 Y 0.000 0.333 0.261
Y3 Y 0.217 0.500 0.257
Y4 Y 0.249 0.250 0.018
Er1 Er 0.000 0.322 0.761
Co1 Co 0.000 0.499 0.011
Co2 Co 0.107 0.139 0.279
```

Main lines, sorted by position (2θ = 10–90°):
| Position (°2θ) | Rel. int. |
| --- | --- |
| 18.9 | 14 |
| 31.1 | 24 |
| 32.0 | 23 |
| 32.7 | 100 |
| 33.0 | 12 |
| 40.7 | 19 |
| 50.5 | 13 |
| 56.4 | 13 |

What is the formula in the fourth record?
Y6ErCo3

What is the formula in the second record?
Y3ErCo